For Ta5NbOs2, a DFT-relaxed cell (GGA-PBE, Alexandria) gives the simulated powder X-ray diffraction pattern in this record (Cu Kα (λ = 1.5418 Å)).

Cell and atoms:
Lattice parameters (Å, degrees): 4.522 5.547 5.779 70.04 89.85 89.95
Space group P1 (No. 1)
Symmetry-distinct sites (fractional):
1 Ta 0.000 0.000 0.000 (multiplicity 1)
2 Ta 0.000 0.001 0.500 (multiplicity 1)
3 Ta 0.000 0.506 0.492 (multiplicity 1)
4 Ta 0.500 0.252 0.744 (multiplicity 1)
5 Ta 0.500 0.256 0.243 (multiplicity 1)
6 Nb 0.000 0.506 0.993 (multiplicity 1)
7 Os 0.500 0.755 0.246 (multiplicity 1)
8 Os 0.500 0.755 0.743 (multiplicity 1)

Principal peaks in the range 10 to 90 degrees two-theta, in order of rising 2θ:
hkl 1 0 2, 38.7°, I 72.6; hkl 0 2 2, 38.9°, I 35.8; hkl 2 0 0, 39.9°, I 100.0; hkl 0 2 -2, 56.7°, I 12.2; hkl 3 0 2, 71.5°, I 12.1; hkl 3 2 0, 72.5°, I 17.5